Starting from a crystal structure in the Materials Project, relaxed with GGA+U, the XRD peak list of FeC3N3O2 was simulated for CuKα.
Kinematic intensities with the Lorentz-polarization factor, no thermal factor.

Structural model:
Lattice parameters (Å, degrees): 7.714 7.714 7.714 60.00 60.00 60.00
Element x y z (fractional)
Fe: 0.000 0.000 0.000
Fe: 0.500 0.500 0.500
C: 0.201 0.201 0.799
C: 0.201 0.799 0.201
C: 0.201 0.799 0.799
C: 0.799 0.201 0.201
C: 0.799 0.201 0.799
C: 0.799 0.799 0.201
N: 0.309 0.309 0.691
N: 0.309 0.691 0.309
N: 0.309 0.691 0.691
N: 0.691 0.309 0.309
N: 0.691 0.309 0.691
N: 0.691 0.691 0.309
O: 0.574 0.809 0.809
O: 0.809 0.574 0.809
O: 0.809 0.809 0.574
O: 0.809 0.809 0.809

Most intense lines, 2θ = 5–70°, low angle first:
14.06 deg, intensity 36; 16.25 deg, intensity 100; 23.06 deg, intensity 78; 32.84 deg, intensity 52; 36.84 deg, intensity 49; 40.51 deg, intensity 9; 47.12 deg, intensity 21; 50.17 deg, intensity 30; 53.09 deg, intensity 13; 55.90 deg, intensity 7; 61.27 deg, intensity 19; 63.85 deg, intensity 13